Starting from a PBE-relaxed structure, the powder diffractogram of Ti2Nb3Sn was computed for copper Kα.

Principal peaks in the range 5° ≤ 2θ ≤ 70°, in order of falling intensity:
2θ/deg, d_spacing, Rel. int.
37.80, 2.380, 100
37.87, 2.376, 100
38.90, 2.315, 92
54.53, 1.683, 33
69.75, 1.348, 29
68.25, 1.374, 17

Structural model:
```
Ti2Nb3Sn
1.0
7.0424 -2.3824 0.0000
7.0424 2.3824 0.0000
-4.3908 0.0000 6.6258
Ti Nb Sn
4 6 2
Cartesian
-0.3847 0.0000 1.4417
2.1743 0.0000 2.9215
7.5198 0.0000 3.7042
10.0788 0.0000 5.1841
-1.0792 0.0000 4.1295
2.7848 0.0000 0.2016
5.1901 0.0000 1.9722
4.5040 0.0000 4.6535
6.9093 0.0000 6.4242
10.7733 0.0000 2.4962
1.3807 0.0000 5.6728
8.3134 0.0000 0.9530
```